Entry 1:
# Lu5Pt3
Computed XRD peak list, Cu Kα X-rays. Input: a crystal structure in the Materials Project, relaxed with PBE.
No peak broadening, texture or thermal motion is included.

Atomic structure:
```
data_Lu5Pt3
_cell_length_a 8.3191
_cell_length_b 8.3191
_cell_length_c 5.9997
_cell_angle_alpha 90.00
_cell_angle_beta 90.00
_cell_angle_gamma 120.00
_symmetry_space_group_name_H-M 'P 63/m c m'
_symmetry_Int_Tables_number 193
_symmetry_space_group_name_Hall '-P 6c 2'
loop_
_atom_site_label
_atom_site_type_symbol
_atom_site_fract_x
_atom_site_fract_y
_atom_site_fract_z
Lu1 Lu 0.0000 0.2486 0.2500
Lu2 Lu 0.3333 0.6667 0.0000
Pt1 Pt 0.0000 0.3950 0.7500
```

Peak list (6 most intense, 10 to 90 degrees two-theta, in order of rising 2θ)
d [Å]	I/Imax	index
3.000	22.1	0 0 2
2.723	26.1	2 1 0
2.480	100.0	2 1 1
2.433	80.2	1 1 2
2.402	47.4	3 0 0
1.612	27.2	2 1 3

***

Entry 2:
# La3Cl
Computed XRD peak list, Cu Kα X-rays. Input: a crystal structure in the Materials Project, relaxed with PBE.
No peak broadening, texture or thermal motion is included.

Atomic structure:
```
data_La3Cl
_cell_length_a 4.807
_cell_length_b 4.807
_cell_length_c 10.911
_cell_angle_alpha 90.00
_cell_angle_beta 90.00
_cell_angle_gamma 90.00
_symmetry_space_group_name_H-M 'I 4/m m m'
_symmetry_Int_Tables_number 139
_symmetry_space_group_name_Hall '-I 4 2'
loop_
_atom_site_label
_atom_site_type_symbol
_atom_site_fract_x
_atom_site_fract_y
_atom_site_fract_z
La1 La 0.000 0.000 0.000
La2 La 0.000 0.500 0.250
Cl1 Cl 0.000 0.000 0.500
```

Peak list (6 most intense, 10 to 90 degrees two-theta, in order of rising 2θ)
d [Å]	I/Imax	index
2.885	100.0	1 1 2
2.728	21.4	0 0 4
2.403	29.9	2 0 0
1.803	24.8	2 0 4
1.603	16.9	1 1 6
1.464	25.5	3 1 2

***

Entry 3:
# SrLa8Se12
Computed XRD peak list, Cu Kα X-rays. Input: a crystal structure in the Materials Project, relaxed with PBE.
No peak broadening, texture or thermal motion is included.

Atomic structure:
```
data_SrLa8Se12
_cell_length_a 12.902
_cell_length_b 12.907
_cell_length_c 15.142
_cell_angle_alpha 90.00
_cell_angle_beta 115.21
_cell_angle_gamma 90.00
_symmetry_space_group_name_H-M 'C 1 c 1'
_symmetry_Int_Tables_number 9
_symmetry_space_group_name_Hall 'C -2yc'
loop_
_atom_site_label
_atom_site_type_symbol
_atom_site_fract_x
_atom_site_fract_y
_atom_site_fract_z
Sr1 Sr 0.000 0.188 0.000
La1 La 0.021 0.124 0.417
La2 La 0.126 0.438 0.500
La3 La 0.167 0.313 0.834
La4 La 0.188 0.375 0.250
La5 La 0.292 0.063 0.333
La6 La 0.334 0.188 0.667
La7 La 0.354 0.126 0.083
La8 La 0.458 0.437 0.167
Se1 Se 0.004 0.500 0.284
Se2 Se 0.047 0.175 0.219
Se3 Se 0.070 0.251 0.616
Se4 Se 0.131 0.073 0.882
Se5 Se 0.173 0.002 0.619
Se6 Se 0.215 0.327 0.050
Se7 Se 0.235 0.249 0.450
Se8 Se 0.296 0.424 0.717
Se9 Se 0.335 0.498 0.949
Se10 Se 0.380 0.175 0.883
Se11 Se 0.403 0.249 0.280
Se12 Se 0.462 0.072 0.551
```

Peak list (6 most intense, 10 to 90 degrees two-theta, in order of rising 2θ)
d [Å]	I/Imax	index
3.726	21.6	1 3 1
2.886	100.0	1 1 4
2.439	67.2	4 2 1
2.041	22.4	2 6 -1
1.481	30.0	2 0 8
1.242	18.8	10 0 -2

***

Entry 4:
# BaMg6CdO8
Computed XRD peak list, Cu Kα X-rays. Input: a crystal structure in the Materials Project, relaxed with PBE.
No peak broadening, texture or thermal motion is included.

Atomic structure:
```
data_BaMg6CdO8
_cell_length_a 4.713
_cell_length_b 4.713
_cell_length_c 9.112
_cell_angle_alpha 90.00
_cell_angle_beta 90.00
_cell_angle_gamma 90.00
_symmetry_space_group_name_H-M 'P 4/m m m'
_symmetry_Int_Tables_number 123
_symmetry_space_group_name_Hall '-P 4 2'
loop_
_atom_site_label
_atom_site_type_symbol
_atom_site_fract_x
_atom_site_fract_y
_atom_site_fract_z
Ba1 Ba 0.000 0.000 0.000
Mg1 Mg 0.000 0.500 0.265
Mg2 Mg 0.500 0.500 0.000
Mg3 Mg 0.500 0.500 0.500
Cd1 Cd 0.000 0.000 0.500
O1 O 0.000 0.000 0.268
O2 O 0.000 0.500 0.000
O3 O 0.000 0.500 0.500
O4 O 0.500 0.500 0.255
```

Peak list (6 most intense, 10 to 90 degrees two-theta, in order of rising 2θ)
d [Å]	I/Imax	index
4.713	79.8	1 0 0
3.276	66.9	1 0 2
2.690	72.8	1 1 2
2.357	100.0	2 0 0
2.278	43.2	0 0 4
1.638	56.3	2 0 4